[1]
Structure and calculated PXRD pattern of Na2VCu3S4 (DFT lattice parameters and positions (PBE); λ = 1.5418 Å (Cu Kα)).
Lines closer than 0.1° are merged.

Unit cell a=7.827 b=7.827 c=6.694 alpha=115.18 beta=115.18 gamma=28.64
Fractional positions:
Na 0.000 0.000 0.000
Na 0.502 0.502 0.497
V 0.806 0.806 0.465
Cu 0.181 0.181 0.525
Cu 0.300 0.300 0.971
Cu 0.682 0.682 0.003
S 0.124 0.124 0.791
S 0.358 0.358 0.688
S 0.638 0.638 0.299
S 0.862 0.862 0.195

Peak list (10 most intense, 5 to 70 degrees two-theta, by angle)
2θ = 13.0°, I = 100
2θ = 26.6°, I = 50
2θ = 29.7°, I = 82
2θ = 37.7°, I = 87
2θ = 39.7°, I = 18
2θ = 47.0°, I = 85
2θ = 48.4°, I = 48
2θ = 49.0°, I = 19
2θ = 61.7°, I = 17
2θ = 69.7°, I = 17

[2]
Structure and calculated PXRD pattern of Na2ZrCu2S4 (DFT lattice parameters and positions (PBE); λ = 1.5418 Å (Cu Kα)).
Lines closer than 0.1° are merged.

Unit cell a=7.122 b=7.122 c=7.089 alpha=111.50 beta=111.50 gamma=30.45
Fractional positions:
Na 0.139 0.139 0.060
Na 0.861 0.861 0.940
Zr 0.000 0.000 0.500
Cu 0.321 0.321 0.514
Cu 0.679 0.679 0.486
S 0.204 0.204 0.701
S 0.490 0.490 0.749
S 0.510 0.510 0.251
S 0.796 0.796 0.299

Peak list (10 most intense, 5 to 70 degrees two-theta, by angle)
2θ = 13.5°, I = 100
2θ = 31.4°, I = 27
2θ = 35.0°, I = 16
2θ = 36.6°, I = 33
2θ = 37.9°, I = 31
2θ = 39.4°, I = 10
2θ = 42.7°, I = 12
2θ = 45.8°, I = 15
2θ = 47.7°, I = 18
2θ = 48.7°, I = 14

[3]
Structure and calculated PXRD pattern of NaZrCuS3 (DFT lattice parameters and positions (PBE); λ = 1.5418 Å (Cu Kα)).
Lines closer than 0.1° are merged.

Unit cell a=6.812 b=6.812 c=9.808 alpha=90.00 beta=90.00 gamma=148.38
Fractional positions:
Na 0.249 0.751 0.750
Na 0.751 0.249 0.250
Zr 0.000 0.000 0.000
Zr 0.000 0.000 0.500
Cu 0.470 0.530 0.250
Cu 0.530 0.470 0.750
S 0.078 0.922 0.250
S 0.369 0.631 0.060
S 0.369 0.631 0.440
S 0.631 0.369 0.560
S 0.631 0.369 0.940
S 0.922 0.078 0.750

Peak list (10 most intense, 5 to 70 degrees two-theta, by angle)
2θ = 13.5°, I = 100
2θ = 31.0°, I = 24
2θ = 31.6°, I = 9
2θ = 33.0°, I = 26
2θ = 36.7°, I = 73
2θ = 39.2°, I = 15
2θ = 46.3°, I = 36
2θ = 49.1°, I = 14
2θ = 62.5°, I = 8
2θ = 62.8°, I = 7

[4]
Structure and calculated PXRD pattern of Na3CuSnSe4 (DFT lattice parameters and positions (PBE); λ = 1.5418 Å (Cu Kα)).
Lines closer than 0.1° are merged.

Unit cell a=6.907 b=10.320 c=14.804 alpha=90.00 beta=117.33 gamma=90.00
Fractional positions:
Na 0.112 0.117 0.125
Na 0.112 0.383 0.625
Na 0.242 0.603 0.017
Na 0.242 0.897 0.517
Na 0.327 0.139 0.876
Na 0.327 0.361 0.376
Na 0.673 0.639 0.624
Na 0.673 0.861 0.124
Na 0.758 0.103 0.483
Na 0.758 0.397 0.983
Na 0.888 0.617 0.375
Na 0.888 0.883 0.875
Cu 0.121 0.602 0.214
Cu 0.121 0.898 0.714
Cu 0.879 0.102 0.286
Cu 0.879 0.398 0.786
Sn 0.390 0.639 0.805
Sn 0.390 0.861 0.305
Sn 0.610 0.139 0.695
Sn 0.610 0.361 0.195
Se 0.121 0.681 0.617
Se 0.121 0.819 0.117
Se 0.214 0.103 0.659
Se 0.214 0.397 0.159
Se 0.270 0.072 0.357
Se 0.270 0.428 0.857
Se 0.356 0.658 0.398
Se 0.356 0.842 0.898
Se 0.644 0.158 0.102
Se 0.644 0.342 0.602
Se 0.730 0.572 0.143
Se 0.730 0.928 0.643
Se 0.786 0.603 0.841
Se 0.786 0.897 0.341
Se 0.879 0.181 0.883
Se 0.879 0.319 0.383

Peak list (10 most intense, 5 to 70 degrees two-theta, by angle)
2θ = 13.5°, I = 76
2θ = 16.9°, I = 100
2θ = 21.5°, I = 50
2θ = 22.0°, I = 50
2θ = 25.5°, I = 77
2θ = 25.8°, I = 93
2θ = 34.8°, I = 56
2θ = 35.7°, I = 45
2θ = 37.6°, I = 73
2θ = 43.0°, I = 53

[5]
Structure and calculated PXRD pattern of NaTiCu3Se4 (DFT lattice parameters and positions (PBE); λ = 1.5418 Å (Cu Kα)).
Lines closer than 0.1° are merged.

Unit cell a=5.894 b=5.894 c=5.894 alpha=90.00 beta=90.00 gamma=90.00
Fractional positions:
Na 0.000 0.000 0.000
Ti 0.500 0.500 0.500
Cu 0.000 0.500 0.500
Cu 0.500 0.000 0.500
Cu 0.500 0.500 0.000
Se 0.266 0.266 0.734
Se 0.266 0.734 0.266
Se 0.734 0.266 0.266
Se 0.734 0.734 0.734

Peak list (10 most intense, 5 to 70 degrees two-theta, by angle)
2θ = 15.0°, I = 34
2θ = 26.2°, I = 100
2θ = 34.0°, I = 4
2θ = 37.4°, I = 4
2θ = 43.4°, I = 97
2θ = 46.2°, I = 7
2θ = 51.4°, I = 43
2θ = 56.3°, I = 9
2θ = 63.1°, I = 14
2θ = 69.5°, I = 16

[6]
Structure and calculated PXRD pattern of NaVCu3Se4 (DFT lattice parameters and positions (PBE); λ = 1.5418 Å (Cu Kα)).
Lines closer than 0.1° are merged.

Unit cell a=5.877 b=5.877 c=5.877 alpha=90.00 beta=90.00 gamma=90.00
Fractional positions:
Na 0.000 0.000 0.000
V 0.500 0.500 0.500
Cu 0.000 0.500 0.500
Cu 0.500 0.000 0.500
Cu 0.500 0.500 0.000
Se 0.269 0.269 0.731
Se 0.269 0.731 0.269
Se 0.731 0.269 0.269
Se 0.731 0.731 0.731

Peak list (10 most intense, 5 to 70 degrees two-theta, by angle)
2θ = 15.1°, I = 39
2θ = 26.3°, I = 100
2θ = 34.1°, I = 4
2θ = 37.5°, I = 5
2θ = 43.6°, I = 97
2θ = 46.3°, I = 8
2θ = 51.6°, I = 42
2θ = 56.5°, I = 10
2θ = 63.3°, I = 14
2θ = 69.7°, I = 15